Computed X-ray powder pattern of ErBeAu3 for a wavelength of 1.5418 Å, from a cell relaxed with GGA-PBE.
Intensities are scaled so that the largest is 100.

Atomic structure:
a = 6.6251 Å, b = 6.6251 Å, c = 7.3714 Å
α = 90.00°, β = 90.00°, γ = 120.00°
Space group R3m (No. 160, hexagonal axes)
Inequivalent atoms, fractional coordinates:
Er 0.0000 0.0000 0.0000 [3 per cell]
Be 0.0000 0.0000 0.4076 [3 per cell]
Au 0.1880 0.3761 0.3071 [9 per cell]

Top 12 peaks for 15 to 90 degrees two-theta, by angle:
(hkl), two_theta, Rel. int.
0 1 2, 28.8, 7
0 2 1, 33.5, 100
0 0 3, 36.6, 29
2 0 2, 39.8, 64
2 1 1, 43.5, 10
2 2 0, 55.5, 20
0 2 4, 59.6, 18
0 3 3, 61.4, 7
4 0 1, 66.4, 10
2 2 3, 68.3, 20
0 4 2, 70.4, 8
2 0 5, 72.0, 10

***

Computed X-ray powder pattern of ErBeGa2Au5 for a wavelength of 1.5418 Å, from a cell relaxed with GGA-PBE.
Intensities are scaled so that the largest is 100.

Atomic structure:
a = 4.4608 Å, b = 6.0317 Å, c = 13.1322 Å
α = 90.00°, β = 90.00°, γ = 90.00°
Space group Immm (No. 71)
Inequivalent atoms, fractional coordinates:
Er 0.0000 0.0000 0.0000 [2 per cell]
Be 0.0000 0.0000 0.5000 [2 per cell]
Ga 0.0000 0.5000 0.1991 [4 per cell]
Au 0.0000 0.2638 0.3660 [8 per cell]
Au 0.0000 0.5000 0.0000 [2 per cell]

Top 12 peaks for 15 to 90 degrees two-theta, by angle:
(hkl), two_theta, Rel. int.
1 0 3, 28.6, 87
1 2 1, 36.6, 100
1 0 5, 39.8, 37
2 0 0, 40.4, 38
0 2 4, 40.6, 61
1 2 3, 41.6, 13
2 2 4, 58.7, 42
1 2 7, 61.8, 24
1 4 3, 69.2, 14
3 2 1, 71.0, 15
1 4 5, 75.8, 11
2 4 0, 76.2, 11

***

Computed X-ray powder pattern of Rb2BeAuF6 for a wavelength of 1.5418 Å, from a cell relaxed with GGA-PBE.
Intensities are scaled so that the largest is 100.

Atomic structure:
a = 5.9379 Å, b = 5.9379 Å, c = 8.8302 Å
α = 90.00°, β = 90.00°, γ = 90.00°
Space group I4/mmm (No. 139)
Inequivalent atoms, fractional coordinates:
Rb 0.0000 0.5000 0.2500 [4 per cell]
Be 0.0000 0.0000 0.0000 [2 per cell]
Au 0.0000 0.0000 0.5000 [2 per cell]
F 0.0000 0.0000 0.2686 [4 per cell]
F 0.1999 0.1999 0.0000 [8 per cell]

Top 12 peaks for 15 to 90 degrees two-theta, by angle:
(hkl), two_theta, Rel. int.
1 0 1, 18.0, 74
1 1 2, 29.4, 100
2 0 0, 30.1, 49
1 0 3, 34.0, 13
2 1 1, 35.3, 48
0 0 4, 40.9, 20
2 2 0, 43.1, 32
2 1 3, 46.0, 19
3 0 1, 47.1, 15
2 0 4, 51.6, 21
3 1 2, 53.0, 34
2 2 4, 60.9, 21

***

Computed X-ray powder pattern of Be2GaAu8 for a wavelength of 1.5418 Å, from a cell relaxed with GGA-PBE.
Intensities are scaled so that the largest is 100.

Atomic structure:
a = 4.4672 Å, b = 6.6319 Å, c = 7.2456 Å
α = 113.39°, β = 103.00°, γ = 100.23°
Space group P1 (No. 1)
Inequivalent atoms, fractional coordinates:
Be 0.0000 0.0000 0.0000 [1 per cell]
Be 0.3363 0.3488 0.6940 [1 per cell]
Ga 0.7821 0.6379 0.3433 [1 per cell]
Au 0.1516 0.4274 0.1122 [1 per cell]
Au 0.2624 0.9729 0.3458 [1 per cell]
Au 0.3790 0.6625 0.5776 [1 per cell]
Au 0.4798 0.1245 0.9128 [1 per cell]
Au 0.5659 0.7621 0.0410 [1 per cell]
Au 0.8454 0.2496 0.3478 [1 per cell]
Au 0.8763 0.0589 0.6491 [1 per cell]
Au 0.9017 0.5529 0.7783 [1 per cell]

Top 12 peaks for 15 to 90 degrees two-theta, by angle:
(hkl), two_theta, Rel. int.
1 -1 0, 22.3, 28
0 2 -1, 27.3, 28
1 -2 1, 31.9, 29
-1 1 2, 36.4, 100
1 2 -1, 37.8, 24
-1 2 1, 37.9, 57
1 -2 2, 38.0, 38
1 1 1, 39.0, 40
1 1 -3, 39.3, 40
2 0 -1, 41.1, 60
1 2 -3, 43.2, 22
2 -2 0, 45.5, 28